Starting from a GGA-PBE-relaxed structure, the powder diffractogram of Y6Er2Cd was calculated for copper Kα.
Peak positions follow from Bragg's law for the DFT cell and can differ from measured ones.

Atomic structure:
```
Y6Er2Cd
1.0
10.1635 0.0000 0.0000
0.0000 10.2086 0.0000
0.0000 0.0000 5.3598
Y Er Cd
12 4 2
direct
0.0349 0.1789 0.0000 Y
0.1289 0.6250 0.5000 Y
0.1788 0.9590 0.5000 Y
0.3212 0.4590 0.0000 Y
0.3711 0.1250 0.0000 Y
0.4651 0.6789 0.5000 Y
0.5349 0.3211 0.5000 Y
0.6289 0.8750 0.0000 Y
0.6788 0.5410 0.0000 Y
0.8212 0.0410 0.5000 Y
0.8711 0.3750 0.5000 Y
0.9651 0.8211 0.0000 Y
0.2093 0.2845 0.5000 Er
0.2907 0.7845 0.0000 Er
0.7093 0.2155 0.0000 Er
0.7907 0.7155 0.5000 Er
0.0000 0.5000 0.0000 Cd
0.5000 0.0000 0.5000 Cd
```

Most intense lines, 2θ from 10° to 80°, by angle:
| two_theta | I (rel.) |
| --- | --- |
| 31.13 | 85.1 |
| 31.23 | 96.5 |
| 31.67 | 35.4 |
| 32.42 | 100.0 |
| 33.44 | 61.1 |
| 37.46 | 34.7 |
| 46.72 | 23.6 |
| 51.08 | 31.1 |
| 58.37 | 29.4 |
| 59.13 | 17.6 |


Starting from a GGA-PBE-relaxed structure, the powder diffractogram of HfP2PbS8 was calculated for copper Kα.
Peak positions follow from Bragg's law for the DFT cell and can differ from measured ones.

Atomic structure:
```
HfP2PbS8
1.0
5.0264 -3.3707 0.0000
5.0264 3.3707 0.0000
-0.6587 0.0000 8.6235
Hf P Pb S
1 2 1 8
direct
0.0000 0.0000 0.0000 Hf
0.3665 0.3665 0.2236 P
0.6335 0.6335 0.7764 P
0.0000 0.0000 0.5000 Pb
0.2511 0.2511 0.0191 S
0.2566 0.7365 0.7827 S
0.2635 0.7434 0.2173 S
0.2935 0.2935 0.4304 S
0.7065 0.7065 0.5696 S
0.7365 0.2566 0.7827 S
0.7434 0.2635 0.2173 S
0.7489 0.7489 0.9809 S
```

Most intense lines, 2θ from 10° to 80°, by angle:
| two_theta | I (rel.) |
| --- | --- |
| 15.84 | 100.0 |
| 17.70 | 62.4 |
| 20.60 | 27.0 |
| 25.54 | 56.6 |
| 26.44 | 32.8 |
| 26.63 | 61.6 |
| 29.85 | 54.8 |
| 33.75 | 53.6 |
| 35.31 | 25.6 |
| 48.81 | 37.4 |


Starting from a GGA-PBE-relaxed structure, the powder diffractogram of LaTlCd2H was calculated for copper Kα.
Peak positions follow from Bragg's law for the DFT cell and can differ from measured ones.

Atomic structure:
```
LaTlCd2H
1.0
4.9669 0.0000 0.0000
0.0000 4.9669 0.0000
0.0000 0.0000 4.5807
La Tl Cd H
1 1 2 1
direct
0.0000 0.0000 0.0000 La
0.5000 0.5000 0.0000 Tl
0.0000 0.5000 0.5000 Cd
0.5000 0.0000 0.5000 Cd
0.0000 0.0000 0.5000 H
```

Most intense lines, 2θ from 10° to 80°, by angle:
| two_theta | I (rel.) |
| --- | --- |
| 25.36 | 3.2 |
| 32.11 | 100.0 |
| 36.17 | 36.7 |
| 39.34 | 14.5 |
| 52.08 | 12.8 |
| 54.50 | 22.2 |
| 62.51 | 29.0 |
| 66.81 | 11.9 |
| 67.17 | 11.7 |
| 76.76 | 4.0 |


Starting from a GGA-PBE-relaxed structure, the powder diffractogram of NaNp2AgTe4 was calculated for copper Kα.
Peak positions follow from Bragg's law for the DFT cell and can differ from measured ones.

Atomic structure:
```
NaNp2AgTe4
1.0
2.2056 -7.2768 0.0000
2.2056 7.2768 0.0000
0.0000 0.0000 15.6947
Na Np Ag Te
2 4 2 8
direct
0.1319 0.8681 0.7500 Na
0.8681 0.1319 0.2500 Na
0.3682 0.6318 0.5698 Np
0.3682 0.6318 0.9302 Np
0.6318 0.3682 0.0698 Np
0.6318 0.3682 0.4302 Np
0.1545 0.8455 0.2500 Ag
0.8455 0.1545 0.7500 Ag
0.0000 0.0000 0.0000 Te
0.0000 0.0000 0.5000 Te
0.2766 0.7234 0.1109 Te
0.2766 0.7234 0.3891 Te
0.4622 0.5378 0.7500 Te
0.5378 0.4622 0.2500 Te
0.7234 0.2766 0.6109 Te
0.7234 0.2766 0.8891 Te
```

Most intense lines, 2θ from 10° to 80°, by angle:
| two_theta | I (rel.) |
| --- | --- |
| 11.28 | 19.6 |
| 13.41 | 54.9 |
| 25.80 | 27.7 |
| 27.33 | 19.9 |
| 27.92 | 28.1 |
| 29.65 | 80.2 |
| 31.04 | 34.7 |
| 32.33 | 27.0 |
| 40.57 | 20.0 |
| 40.96 | 100.0 |


Starting from a GGA-PBE-relaxed structure, the powder diffractogram of FeI4 was calculated for copper Kα.
Peak positions follow from Bragg's law for the DFT cell and can differ from measured ones.

Atomic structure:
```
FeI4
1.0
-3.0855 3.0855 5.6603
3.0855 -3.0855 5.6603
3.0855 3.0855 -5.6603
Fe I
1 4
direct
0.0000 0.0000 0.0000 Fe
0.1080 0.1080 0.4689 I
0.3609 0.8920 0.0000 I
0.6391 0.6391 0.5311 I
0.8920 0.3609 0.0000 I
```

Most intense lines, 2θ from 10° to 80°, by angle:
| two_theta | I (rel.) |
| --- | --- |
| 16.36 | 10.7 |
| 25.78 | 100.0 |
| 28.94 | 27.7 |
| 31.61 | 11.4 |
| 41.38 | 16.3 |
| 43.39 | 29.3 |
| 49.40 | 30.6 |
| 52.87 | 13.4 |
| 52.99 | 9.6 |
| 69.27 | 11.0 |